This entry pairs a crystal structure of Tl2TcCl5 with its calculated XRD peak list. Radiation: λ = 1.5418 Å (Cu Kα). Structure: DFT lattice parameters and positions (PBE).
No peak broadening, texture or thermal motion is included.

Cell and atoms:
```
data_Tl2TcCl5
_chemical_formula_sum 'Tl4 Tc2 Cl10'
_cell_length_a 9.6261
_cell_length_b 10.3070
_cell_length_c 6.4593
_cell_angle_alpha 90.00
_cell_angle_beta 116.66
_cell_angle_gamma 90.00
_symmetry_space_group_name_H-M 'C 1 m 1'
_symmetry_Int_Tables_number 8
_symmetry_space_group_name_Hall 'C -2y'
loop_
_atom_site_label
_atom_site_type_symbol
_atom_site_fract_x
_atom_site_fract_y
_atom_site_fract_z
Tl1 Tl 0.0000 0.2410 0.0000
Tc1 Tc 0.1689 0.0000 0.5623
Cl1 Cl 0.1663 0.2308 0.5597
Cl2 Cl 0.1849 0.0000 0.9770
Cl3 Cl 0.4043 0.5000 0.2732
Cl4 Cl 0.4431 0.0000 0.6972
```

Most intense lines, 2θ = 15–90°, by angle:
2θ (°)  I (rel.)
15.3  53.1
19.4  72.2
20.6  48.2
23.1  100.0
26.1  90.9
27.0  67.0
31.0  79.9
33.5  53.4
34.8  48.0
35.7  65.1